Theoretical X-ray diffraction stick pattern
Compound: La8Co2As
Radiation: CuKα
Structure: a cell relaxed with PBE
Neutral-atom scattering factors, no anomalous dispersion.

Cell and atoms:
```
La8Co2As
1.0
4.0680 -6.6681 0.0000
4.0680 6.6681 0.0000
-2.3175 0.0000 6.1513
La Co As
8 2 1
Cartesian
0.0000 0.0000 0.0000
-0.2300 1.8181 3.6454
2.4235 2.7393 1.2462
-0.2300 -1.8181 3.6454
3.0168 1.8159 4.9505
2.4235 -2.7393 1.2462
4.9419 0.0000 2.3470
3.0168 -1.8159 4.9505
1.5294 4.0900 4.2660
1.5294 -4.0900 4.2660
0.7145 0.0000 6.0448
```

Top 6 peaks for 10 to 90 degrees two-theta, most intense first:
| d/Å | I/Imax |
| --- | --- |
| 3.024 | 100 |
| 3.187 | 63 |
| 2.931 | 59 |
| 2.509 | 57 |
| 2.822 | 54 |
| 2.793 | 49 |